For Ti4CuAg, a DFT-relaxed cell (PBE, the Materials Project) gives the simulated X-ray diffraction stick pattern in this record (Cu Kα (weighted mean of Kα1 and Kα2)).
No peak broadening, texture or thermal motion is included.

Structure:
Lattice parameters (Å, degrees): 2.9526 2.9526 11.2848 90.00 90.00 90.00
Fractional positions:
Ti (0.0000, 0.0000, 0.1532)
Ti (0.0000, 0.0000, 0.8468)
Ti (0.5000, 0.5000, 0.3185)
Ti (0.5000, 0.5000, 0.6815)
Cu (0.5000, 0.5000, 0.0000)
Ag (0.0000, 0.0000, 0.5000)

The 10 most intense peaks (2θ = 10–90°), by intensity:
2θ/deg	I/Imax
38.77	100
43.34	37
76.45	23
66.97	16
15.71	12
48.40	11
62.96	11
31.32	11
83.19	8
83.82	7


For Ca3Er2Sn3S12, a DFT-relaxed cell (PBE, the Materials Project) gives the simulated X-ray diffraction stick pattern in this record (Cu Kα (weighted mean of Kα1 and Kα2)).
No peak broadening, texture or thermal motion is included.

Structure:
Lattice parameters (Å, degrees): 3.9035 11.5546 11.5546 120.52 90.00 90.00
Fractional positions:
Ca (0.0000, 0.0000, 0.0000)
Ca (0.0000, 0.6213, 0.9531)
Ca (0.0000, 0.9531, 0.6213)
Er (0.0000, 0.2819, 0.5679)
Er (0.0000, 0.5679, 0.2819)
Sn (0.5000, 0.2803, 0.9538)
Sn (0.5000, 0.6110, 0.6110)
Sn (0.5000, 0.9538, 0.2803)
S (0.0000, 0.1119, 0.2910)
S (0.0000, 0.2865, 0.8091)
S (0.0000, 0.2910, 0.1119)
S (0.0000, 0.4558, 0.4558)
S (0.0000, 0.7552, 0.7552)
S (0.0000, 0.8091, 0.2865)
S (0.5000, 0.0290, 0.8330)
S (0.5000, 0.0966, 0.5368)
S (0.5000, 0.4680, 0.7214)
S (0.5000, 0.5368, 0.0966)
S (0.5000, 0.7214, 0.4680)
S (0.5000, 0.8330, 0.0290)

The 10 most intense peaks (2θ = 10–90°), by intensity:
2θ/deg	I/Imax
27.61	100
38.78	52
15.34	51
26.87	46
32.99	30
47.99	27
33.11	22
46.53	21
26.66	20
47.62	20


For U3Ga2Ge3, a DFT-relaxed cell (PBE, the Materials Project) gives the simulated X-ray diffraction stick pattern in this record (Cu Kα (weighted mean of Kα1 and Kα2)).
No peak broadening, texture or thermal motion is included.

Structure:
Lattice parameters (Å, degrees): 7.6559 7.5364 7.8040 59.85 58.34 61.81
Fractional positions:
U (0.0331, 0.7355, 0.9669)
U (0.1479, 0.8521, 0.1479)
U (0.2096, 0.5199, 0.4801)
U (0.5199, 0.2096, 0.7904)
U (0.7355, 0.0331, 0.2645)
U (0.8521, 0.1479, 0.8521)
Ga (0.2075, 0.2075, 0.2925)
Ga (0.4219, 0.7010, 0.5781)
Ga (0.7010, 0.4219, 0.2990)
Ga (0.7075, 0.7075, 0.7925)
Ge (0.0314, 0.3382, 0.9686)
Ge (0.3382, 0.0314, 0.6618)
Ge (0.4591, 0.4591, 0.0409)
Ge (0.5298, 0.8344, 0.1656)
Ge (0.8344, 0.5298, 0.4702)
Ge (0.9591, 0.9591, 0.5409)

The 10 most intense peaks (2θ = 10–90°), by intensity:
2θ/deg	I/Imax
36.72	100
36.24	84
36.08	41
16.98	31
16.31	23
14.17	20
71.11	18
69.69	17
46.57	15
27.24	12


For NdP12Ru4, a DFT-relaxed cell (PBE, the Materials Project) gives the simulated X-ray diffraction stick pattern in this record (Cu Kα (weighted mean of Kα1 and Kα2)).
No peak broadening, texture or thermal motion is included.

Structure:
Lattice parameters (Å, degrees): 7.0150 7.0150 7.0150 109.47 109.47 109.47
Fractional positions:
Nd (0.0000, 0.0000, 0.0000)
P (0.1436, 0.3577, 0.5013)
P (0.1436, 0.6423, 0.7860)
P (0.2140, 0.8564, 0.3577)
P (0.3577, 0.2140, 0.8564)
P (0.3577, 0.5013, 0.1436)
P (0.4987, 0.8564, 0.6423)
P (0.5013, 0.1436, 0.3577)
P (0.6423, 0.4987, 0.8564)
P (0.6423, 0.7860, 0.1436)
P (0.7860, 0.1436, 0.6423)
P (0.8564, 0.3577, 0.2140)
P (0.8564, 0.6423, 0.4987)
Ru (0.0000, 0.0000, 0.5000)
Ru (0.0000, 0.5000, 0.0000)
Ru (0.5000, 0.0000, 0.0000)
Ru (0.5000, 0.5000, 0.5000)

The 10 most intense peaks (2θ = 10–90°), by intensity:
2θ/deg	I/Imax
31.23	100
55.58	55
35.03	46
41.72	32
50.38	28
58.06	23
74.02	21
21.95	19
15.47	17
44.75	15


For BaLaI5, a DFT-relaxed cell (PBE, the Materials Project) gives the simulated X-ray diffraction stick pattern in this record (Cu Kα (weighted mean of Kα1 and Kα2)).
No peak broadening, texture or thermal motion is included.

Structure:
Lattice parameters (Å, degrees): 9.2551 4.8737 15.0342 90.00 90.32 90.00
Fractional positions:
Ba (0.0713, 0.2500, 0.1523)
Ba (0.9287, 0.7500, 0.8477)
La (0.4260, 0.7500, 0.3492)
La (0.5740, 0.2500, 0.6508)
I (0.0777, 0.7500, 0.3346)
I (0.1606, 0.2500, 0.9262)
I (0.3221, 0.2500, 0.4861)
I (0.3616, 0.7500, 0.1399)
I (0.3678, 0.7500, 0.7111)
I (0.6322, 0.2500, 0.2889)
I (0.6384, 0.2500, 0.8601)
I (0.6779, 0.7500, 0.5139)
I (0.8394, 0.7500, 0.0738)
I (0.9223, 0.2500, 0.6654)

The 10 most intense peaks (2θ = 10–90°), by intensity:
2θ/deg	I/Imax
23.82	100
27.23	91
11.20	91
29.10	66
36.89	57
26.56	47
25.51	41
36.43	35
31.54	35
26.29	33


For Sm11Fe12C18, a DFT-relaxed cell (PBE, the Materials Project) gives the simulated X-ray diffraction stick pattern in this record (Cu Kα (weighted mean of Kα1 and Kα2)).
No peak broadening, texture or thermal motion is included.

Structure:
Lattice parameters (Å, degrees): 8.9542 8.9542 8.9542 109.47 109.47 109.47
Fractional positions:
Sm (0.0000, 0.0000, 0.0000)
Sm (0.0000, 0.0000, 0.5929)
Sm (0.0000, 0.5929, 0.0000)
Sm (0.2500, 0.5000, 0.7500)
Sm (0.2500, 0.7500, 0.5000)
Sm (0.4071, 0.4071, 0.4071)
Sm (0.5000, 0.2500, 0.7500)
Sm (0.5000, 0.7500, 0.2500)
Sm (0.5929, 0.0000, 0.0000)
Sm (0.7500, 0.2500, 0.5000)
Sm (0.7500, 0.5000, 0.2500)
Fe (0.0000, 0.1985, 0.3582)
Fe (0.0000, 0.3582, 0.1985)
Fe (0.1596, 0.8015, 0.8015)
Fe (0.1985, 0.0000, 0.3582)
Fe (0.1985, 0.3582, 0.0000)
Fe (0.3582, 0.0000, 0.1985)
Fe (0.3582, 0.1985, 0.0000)
Fe (0.6418, 0.6418, 0.8404)
Fe (0.6418, 0.8404, 0.6418)
Fe (0.8015, 0.1596, 0.8015)
Fe (0.8015, 0.8015, 0.1596)
Fe (0.8404, 0.6418, 0.6418)
C (0.0000, 0.2942, 0.7950)
C (0.0000, 0.4309, 0.4309)
C (0.0000, 0.5691, 0.5691)
C (0.0000, 0.7950, 0.2942)
C (0.2050, 0.2050, 0.4993)
C (0.2050, 0.4993, 0.2050)
C (0.2942, 0.0000, 0.7950)
C (0.2942, 0.7950, 0.0000)
C (0.4309, 0.0000, 0.4309)
C (0.4309, 0.4309, 0.0000)
C (0.4993, 0.2050, 0.2050)
C (0.5007, 0.7058, 0.7058)
C (0.5691, 0.0000, 0.5691)
C (0.5691, 0.5691, 0.0000)
C (0.7058, 0.5007, 0.7058)
C (0.7058, 0.7058, 0.5007)
C (0.7950, 0.0000, 0.2942)
C (0.7950, 0.2942, 0.0000)

The 10 most intense peaks (2θ = 10–90°), by intensity:
2θ/deg	I/Imax
32.40	100
29.94	67
36.88	54
34.70	50
54.73	47
66.45	32
49.89	22
40.94	20
51.54	16
75.88	15


What did the fourth record say?
For NdP12Ru4, a DFT-relaxed cell (PBE, the Materials Project) gives the simulated X-ray diffraction stick pattern in this record (Cu Kα (weighted mean of Kα1 and Kα2)).
No peak broadening, texture or thermal motion is included.

Structure:
Lattice parameters (Å, degrees): 7.0150 7.0150 7.0150 109.47 109.47 109.47
Fractional positions:
Nd (0.0000, 0.0000, 0.0000)
P (0.1436, 0.3577, 0.5013)
P (0.1436, 0.6423, 0.7860)
P (0.2140, 0.8564, 0.3577)
P (0.3577, 0.2140, 0.8564)
P (0.3577, 0.5013, 0.1436)
P (0.4987, 0.8564, 0.6423)
P (0.5013, 0.1436, 0.3577)
P (0.6423, 0.4987, 0.8564)
P (0.6423, 0.7860, 0.1436)
P (0.7860, 0.1436, 0.6423)
P (0.8564, 0.3577, 0.2140)
P (0.8564, 0.6423, 0.4987)
Ru (0.0000, 0.0000, 0.5000)
Ru (0.0000, 0.5000, 0.0000)
Ru (0.5000, 0.0000, 0.0000)
Ru (0.5000, 0.5000, 0.5000)

The 10 most intense peaks (2θ = 10–90°), by intensity:
2θ/deg	I/Imax
31.23	100
55.58	55
35.03	46
41.72	32
50.38	28
58.06	23
74.02	21
21.95	19
15.47	17
44.75	15


Repeat the fifth record exactly.
For BaLaI5, a DFT-relaxed cell (PBE, the Materials Project) gives the simulated X-ray diffraction stick pattern in this record (Cu Kα (weighted mean of Kα1 and Kα2)).
No peak broadening, texture or thermal motion is included.

Structure:
Lattice parameters (Å, degrees): 9.2551 4.8737 15.0342 90.00 90.32 90.00
Fractional positions:
Ba (0.0713, 0.2500, 0.1523)
Ba (0.9287, 0.7500, 0.8477)
La (0.4260, 0.7500, 0.3492)
La (0.5740, 0.2500, 0.6508)
I (0.0777, 0.7500, 0.3346)
I (0.1606, 0.2500, 0.9262)
I (0.3221, 0.2500, 0.4861)
I (0.3616, 0.7500, 0.1399)
I (0.3678, 0.7500, 0.7111)
I (0.6322, 0.2500, 0.2889)
I (0.6384, 0.2500, 0.8601)
I (0.6779, 0.7500, 0.5139)
I (0.8394, 0.7500, 0.0738)
I (0.9223, 0.2500, 0.6654)

The 10 most intense peaks (2θ = 10–90°), by intensity:
2θ/deg	I/Imax
23.82	100
27.23	91
11.20	91
29.10	66
36.89	57
26.56	47
25.51	41
36.43	35
31.54	35
26.29	33